Diffraction record for Pa4ReTeSe2. The X-ray diffraction stick pattern is theoretical, not measured: it uses DFT lattice parameters and positions (GGA-PBE) and Cu Kα, 1.54184 Å.

Most intense lines, 2θ from 10° to 90°, by angle:
Position (°2θ)  d/Å  I_rel  (hkl)
12.54  7.058  11  0 0 1
26.91  3.313  14  1 1 -1
30.33  2.947  51  2 0 -2
30.52  2.929  100  1 1 1
42.09  2.147  18  2 0 2
43.02  2.102  35  1 1 -3
44.10  2.054  39  3 1 -1
45.27  2.003  18  0 2 0
53.67  1.708  13  4 0 0
55.47  1.657  19  2 2 -2

Structural model:
```
Pa4ReTeSe2
1.0
7.176 0.000 0.000
0.000 4.006 0.000
-2.274 0.000 7.058
Pa Re Te Se
4 1 1 2
direct
0.233 0.000 0.217 Pa
0.255 0.500 0.778 Pa
0.745 0.500 0.222 Pa
0.767 0.000 0.783 Pa
0.000 0.500 0.000 Re
0.000 0.000 0.500 Te
0.500 0.000 0.000 Se
0.500 0.500 0.500 Se
```